# 1
Structure and computed PXRD pattern of GaBi2Pb6 (a crystal structure in Alexandria, relaxed with PBE; a wavelength of 1.5418 Å).
Lines closer than 0.1° are merged.

Cell and atoms:
Cell: 15.5636 5.9855 6.0652 Å, 90.00 101.33 90.00°
Space group C2/m (No. 12)
Inequivalent atoms, fractional coordinates:
Ga 0.0000 0.0000 0.0000 [2 per cell]
Bi 0.0583 0.5000 0.7896 [4 per cell]
Pb 0.1062 0.0000 0.5627 [4 per cell]
Pb 0.1659 0.5000 0.3308 [4 per cell]
Pb 0.2117 0.0000 0.1051 [4 per cell]

Top 12 peaks for 2θ = 10–80°, sorted by position:
2θ (°)	I (rel.)	h k l
29.86	66	0 2 0
30.21	62	4 0 1
33.12	100	1 1 -2
33.76	93	5 1 -1
42.99	49	4 2 1
52.67	14	6 0 -3
55.10	48	1 3 -2
55.53	24	5 3 -1
56.40	20	9 1 0
61.73	17	6 2 -3
69.50	12	2 2 -4
71.06	21	8 2 2

# 2
Structure and computed PXRD pattern of GaBiPd4 (a crystal structure in Alexandria, relaxed with PBE; a wavelength of 1.5418 Å).
Lines closer than 0.1° are merged.

Cell and atoms:
Cell: 4.7056 8.2870 5.4391 Å, 90.00 90.00 90.00°
Space group Pmna (No. 53)
Inequivalent atoms, fractional coordinates:
Ga 0.0000 0.0000 0.0000 [2 per cell]
Bi 0.0000 0.5000 0.5000 [2 per cell]
Pd 0.0000 0.1545 0.4019 [4 per cell]
Pd 0.0000 0.3032 0.9184 [4 per cell]

Top 12 peaks for 2θ = 10–80°, sorted by position:
2θ (°)	I (rel.)	h k l
10.68	10	0 1 0
27.05	14	0 2 1
27.27	11	1 1 1
32.94	27	0 0 2
33.19	23	1 2 1
38.25	42	2 0 0
39.80	36	1 1 2
41.38	100	1 3 1
51.35	15	2 0 2
55.43	14	0 5 0
69.27	9	2 2 3
71.28	20	3 3 1

# 3
Structure and computed PXRD pattern of GaBi2Pd8 (a crystal structure in Alexandria, relaxed with PBE; a wavelength of 1.5418 Å).
Lines closer than 0.1° are merged.

Cell and atoms:
Cell: 14.9394 4.3287 6.0878 Å, 90.00 104.45 90.00°
Space group C2/m (No. 12)
Inequivalent atoms, fractional coordinates:
Ga 0.0000 0.0000 0.0000 [2 per cell]
Bi 0.2004 0.5000 0.6693 [4 per cell]
Pd 0.0281 0.5000 0.7646 [4 per cell]
Pd 0.0826 0.0000 0.4319 [4 per cell]
Pd 0.1552 0.5000 0.2029 [4 per cell]
Pd 0.1614 0.0000 0.9208 [4 per cell]

Top 12 peaks for 2θ = 10–80°, sorted by position:
2θ (°)	I (rel.)	h k l
29.29	12	3 1 -1
34.11	16	4 0 -2
37.34	100	5 1 -1
38.72	100	1 1 2
41.73	44	0 2 0
43.34	16	5 1 -2
43.98	23	6 0 1
46.78	13	4 0 -3
54.93	12	4 2 -2
62.21	20	6 2 1
73.29	13	5 3 -1
74.18	15	1 3 2

# 4
Structure and computed PXRD pattern of Pm10Ga3Bi3 (a crystal structure in Alexandria, relaxed with PBE; a wavelength of 1.5418 Å).
Lines closer than 0.1° are merged.

Cell and atoms:
Cell: 9.1331 9.1331 6.7584 Å, 90.00 90.00 120.00°
Space group P-62m (No. 189)
Inequivalent atoms, fractional coordinates:
Pm 0.0000 0.2384 0.0000 [3 per cell]
Pm 0.0000 0.7613 0.5000 [3 per cell]
Pm 0.3333 0.6667 0.2375 [4 per cell]
Ga 0.0000 0.6050 0.0000 [3 per cell]
Bi 0.0000 0.3966 0.5000 [3 per cell]

Top 12 peaks for 2θ = 10–80°, sorted by position:
2θ (°)	I (rel.)	h k l
26.37	20	0 0 2
28.73	16	1 0 2
29.89	32	2 1 0
32.76	100	2 1 1
32.97	78	1 1 2
34.00	36	3 0 0
43.37	12	3 1 1
48.09	17	2 2 2
50.74	30	2 1 3
53.71	11	4 0 2
54.29	11	0 0 4
65.11	19	5 0 2

# 5
Structure and computed PXRD pattern of Pm5GaBi3 (a crystal structure in Alexandria, relaxed with PBE; a wavelength of 1.5418 Å).
Lines closer than 0.1° are merged.

Cell and atoms:
Cell: 9.6563 9.6563 6.5468 Å, 90.00 90.00 120.00°
Space group P6_3/mcm (No. 193)
Inequivalent atoms, fractional coordinates:
Pm 0.0000 0.2581 0.2500 [6 per cell]
Pm 0.3333 0.6667 0.0000 [4 per cell]
Ga 0.0000 0.0000 0.0000 [2 per cell]
Bi 0.0000 0.3854 0.7500 [6 per cell]

Top 12 peaks for 2θ = 10–80°, sorted by position:
2θ (°)	I (rel.)	h k l
27.24	20	0 0 2
31.43	92	2 1 1
32.11	81	3 0 0
33.06	100	1 1 2
41.30	25	3 1 1
46.76	25	2 2 2
49.51	13	3 2 1
50.84	24	2 1 3
57.85	12	4 1 2
60.24	15	4 2 1
62.34	13	5 0 2
66.21	21	3 0 4

# 6
Structure and computed PXRD pattern of PmPrGaBi (a crystal structure in Alexandria, relaxed with PBE; a wavelength of 1.5418 Å).
Lines closer than 0.1° are merged.

Cell and atoms:
Cell: 7.7306 7.7306 7.7306 Å, 90.00 90.00 90.00°
Space group F-43m (No. 216)
Inequivalent atoms, fractional coordinates:
Pm 0.0000 0.0000 0.0000 [4 per cell]
Pr 0.0000 0.0000 0.5000 [4 per cell]
Ga 0.2500 0.2500 0.2500 [4 per cell]
Bi 0.2500 0.2500 0.7500 [4 per cell]

Top 10 peaks for 2θ = 10–80°, sorted by position:
2θ (°)	I (rel.)	h k l
19.89	12	1 1 1
32.77	100	2 2 0
38.63	7	3 1 1
47.02	18	4 0 0
51.53	3	3 3 1
58.49	38	4 2 2
62.42	3	5 1 1
68.68	12	4 4 0
72.31	3	5 3 1
78.20	17	6 2 0

Repeat the third record exactly.
Structure and computed PXRD pattern of GaBi2Pd8 (a crystal structure in Alexandria, relaxed with PBE; a wavelength of 1.5418 Å).
Lines closer than 0.1° are merged.

Cell and atoms:
Cell: 14.9394 4.3287 6.0878 Å, 90.00 104.45 90.00°
Space group C2/m (No. 12)
Inequivalent atoms, fractional coordinates:
Ga 0.0000 0.0000 0.0000 [2 per cell]
Bi 0.2004 0.5000 0.6693 [4 per cell]
Pd 0.0281 0.5000 0.7646 [4 per cell]
Pd 0.0826 0.0000 0.4319 [4 per cell]
Pd 0.1552 0.5000 0.2029 [4 per cell]
Pd 0.1614 0.0000 0.9208 [4 per cell]

Top 12 peaks for 2θ = 10–80°, sorted by position:
2θ (°)	I (rel.)	h k l
29.29	12	3 1 -1
34.11	16	4 0 -2
37.34	100	5 1 -1
38.72	100	1 1 2
41.73	44	0 2 0
43.34	16	5 1 -2
43.98	23	6 0 1
46.78	13	4 0 -3
54.93	12	4 2 -2
62.21	20	6 2 1
73.29	13	5 3 -1
74.18	15	1 3 2